Record 1
This entry pairs a crystal structure of SrCa2Al with its computed powder diffractogram. Radiation: CuKα. Structure: a crystal structure in Alexandria, relaxed with PBE.
Intensities are scaled so that the largest is 100.

Peak list (10 most intense, 2θ from 15° to 90°, in order of rising 2θ)
| d_spacing | intensity |
| --- | --- |
| 3.570 | 47 |
| 3.327 | 22 |
| 3.035 | 100 |
| 2.703 | 49 |
| 2.098 | 23 |
| 2.090 | 18 |
| 1.911 | 17 |
| 1.770 | 12 |
| 1.617 | 29 |
| 1.417 | 11 |

Structure:
```
SrCa2Al
1.0
3.8224 0.0000 0.0000
0.0000 3.8224 0.0000
0.0000 0.0000 9.9819
Sr Ca Al
1 2 1
direct
0.0000 0.0000 0.0000
0.5000 0.5000 0.3174
0.5000 0.5000 0.6826
0.0000 0.0000 0.5000
```

***

Record 2
This entry pairs a crystal structure of BaCaB6C6 with its computed powder diffractogram. Radiation: CuKα. Structure: a crystal structure in Alexandria, relaxed with PBE.
Intensities are scaled so that the largest is 100.

Peak list (10 most intense, 2θ from 15° to 90°, in order of rising 2θ)
| d_spacing | intensity |
| --- | --- |
| 4.923 | 47 |
| 3.481 | 97 |
| 2.843 | 19 |
| 2.462 | 48 |
| 2.202 | 25 |
| 2.010 | 100 |
| 1.741 | 15 |
| 1.557 | 21 |
| 1.316 | 47 |
| 1.101 | 14 |

Structure:
```
BaCaB6C6
1.0
4.9234 0.0000 0.0000
0.0000 4.9234 0.0000
0.0000 0.0000 4.9234
Ba Ca B C
1 1 6 6
direct
0.0000 0.0000 0.0000
0.5000 0.5000 0.5000
0.0000 0.5000 0.2555
0.0000 0.5000 0.7445
0.2555 0.0000 0.5000
0.5000 0.2555 0.0000
0.5000 0.7445 0.0000
0.7445 0.0000 0.5000
0.0000 0.2557 0.5000
0.0000 0.7443 0.5000
0.2557 0.5000 0.0000
0.5000 0.0000 0.2557
0.5000 0.0000 0.7443
0.7443 0.5000 0.0000
```

***

Record 3
This entry pairs a crystal structure of Rb2Ti2Pt with its computed powder diffractogram. Radiation: CuKα. Structure: a crystal structure in Alexandria, relaxed with PBE.
Intensities are scaled so that the largest is 100.

Peak list (10 most intense, 2θ from 15° to 90°, in order of rising 2θ)
| d_spacing | intensity |
| --- | --- |
| 3.253 | 53 |
| 3.001 | 18 |
| 2.860 | 97 |
| 2.518 | 19 |
| 2.467 | 100 |
| 1.780 | 19 |
| 1.738 | 33 |
| 1.511 | 28 |
| 1.444 | 15 |
| 1.121 | 13 |

Structure:
```
Rb2Ti2Pt
1.0
3.5605 0.0000 0.0000
0.0000 3.5605 0.0000
0.0000 0.0000 24.0117
Rb Ti Pt
4 4 2
direct
0.0000 0.0000 0.0944
0.0000 0.0000 0.9056
0.5000 0.5000 0.4056
0.5000 0.5000 0.5944
0.0000 0.5000 0.2500
0.0000 0.5000 0.7500
0.5000 0.0000 0.2500
0.5000 0.0000 0.7500
0.0000 0.0000 0.5000
0.5000 0.5000 0.0000
```

***

Record 4
This entry pairs a crystal structure of NbV2H with its computed powder diffractogram. Radiation: CuKα. Structure: a crystal structure in Alexandria, relaxed with PBE.
Intensities are scaled so that the largest is 100.

Peak list (10 most intense, 2θ from 15° to 90°, in order of rising 2θ)
| d_spacing | intensity |
| --- | --- |
| 4.792 | 7 |
| 2.996 | 10 |
| 2.244 | 100 |
| 2.218 | 19 |
| 1.597 | 6 |
| 1.577 | 12 |
| 1.301 | 6 |
| 1.296 | 18 |
| 1.286 | 11 |
| 1.122 | 9 |

Structure:
```
NbV2H
1.0
4.4356 0.0000 0.0000
0.0000 9.5830 0.0000
0.0000 0.0000 4.4875
Nb V H
4 8 4
direct
0.2500 0.2500 0.0000
0.2500 0.7500 0.5000
0.7500 0.2500 0.5000
0.7500 0.7500 0.0000
0.2342 0.0826 0.5000
0.2342 0.9174 0.0000
0.2658 0.4174 0.5000
0.2658 0.5826 0.0000
0.7342 0.4174 0.0000
0.7342 0.5826 0.5000
0.7658 0.0826 0.0000
0.7658 0.9174 0.5000
0.0000 0.5000 0.2500
0.0000 0.5000 0.7500
0.5000 0.0000 0.2500
0.5000 0.0000 0.7500
```

***

Record 5
This entry pairs a crystal structure of Sm7Y4Mg with its computed powder diffractogram. Radiation: CuKα. Structure: a crystal structure in Alexandria, relaxed with PBE.
Intensities are scaled so that the largest is 100.

Peak list (10 most intense, 2θ from 15° to 90°, in order of rising 2θ)
| d_spacing | intensity |
| --- | --- |
| 2.936 | 100 |
| 2.904 | 31 |
| 2.536 | 66 |
| 1.800 | 24 |
| 1.786 | 21 |
| 1.535 | 14 |
| 1.530 | 27 |
| 1.521 | 12 |
| 1.468 | 12 |
| 1.168 | 11 |

Structure:
```
Sm7Y4Mg
1.0
3.6009 0.0000 0.0000
-1.8005 3.1185 0.0000
0.0000 0.0000 34.8519
Sm Y Mg
7 4 1
direct
0.0000 0.0000 0.0000
0.0000 0.0000 0.2532
0.0000 0.0000 0.7468
0.3333 0.6667 0.1681
0.3333 0.6667 0.4213
0.6667 0.3333 0.5787
0.6667 0.3333 0.8319
0.3333 0.6667 0.6622
0.3333 0.6667 0.9160
0.6667 0.3333 0.0840
0.6667 0.3333 0.3378
0.0000 0.0000 0.5000
```

***

Record 6
This entry pairs a crystal structure of Mo2RhAu2 with its computed powder diffractogram. Radiation: CuKα. Structure: a crystal structure in Alexandria, relaxed with PBE.
Intensities are scaled so that the largest is 100.

Peak list (10 most intense, 2θ from 15° to 90°, in order of rising 2θ)
| d_spacing | intensity |
| --- | --- |
| 3.247 | 23 |
| 2.459 | 100 |
| 2.164 | 11 |
| 2.137 | 14 |
| 2.056 | 25 |
| 1.879 | 30 |
| 1.626 | 13 |
| 1.419 | 12 |
| 1.229 | 11 |
| 1.169 | 20 |

Structure:
```
Mo2RhAu2
1.0
3.7575 0.0000 0.0000
0.0000 3.7575 0.0000
0.0000 0.0000 12.9865
Mo Rh Au
4 2 4
direct
0.0000 0.0000 0.0839
0.0000 0.0000 0.9161
0.5000 0.5000 0.4161
0.5000 0.5000 0.5839
0.0000 0.0000 0.5000
0.5000 0.5000 0.0000
0.0000 0.5000 0.2500
0.0000 0.5000 0.7500
0.5000 0.0000 0.2500
0.5000 0.0000 0.7500
```

***

Record 7
This entry pairs a crystal structure of SrSc2TcN4 with its computed powder diffractogram. Radiation: CuKα. Structure: a crystal structure in Alexandria, relaxed with PBE.
Intensities are scaled so that the largest is 100.

Peak list (10 most intense, 2θ from 15° to 90°, in order of rising 2θ)
| d_spacing | intensity |
| --- | --- |
| 5.773 | 76 |
| 2.887 | 87 |
| 2.804 | 66 |
| 2.771 | 99 |
| 2.443 | 100 |
| 2.311 | 40 |
| 2.294 | 66 |
| 1.697 | 63 |
| 1.643 | 33 |
| 1.463 | 22 |

Structure:
```
SrSc2TcN4
1.0
1.6422 -5.7812 0.0000
1.6422 5.7812 0.0000
0.0000 0.0000 11.5443
Sr Sc Tc N
2 4 2 8
direct
0.0790 0.9210 0.7500
0.9210 0.0790 0.2500
0.3724 0.6276 0.5391
0.3724 0.6276 0.9609
0.6276 0.3724 0.0391
0.6276 0.3724 0.4609
0.1850 0.8150 0.2500
0.8150 0.1850 0.7500
0.0000 0.0000 0.0000
0.0000 0.0000 0.5000
0.2587 0.7413 0.1056
0.2587 0.7413 0.3944
0.4134 0.5866 0.7500
0.5866 0.4134 0.2500
0.7413 0.2587 0.6056
0.7413 0.2587 0.8944
```

***

Record 8
This entry pairs a crystal structure of Nd6ErIn4 with its computed powder diffractogram. Radiation: CuKα. Structure: a crystal structure in Alexandria, relaxed with PBE.
Intensities are scaled so that the largest is 100.

Peak list (10 most intense, 2θ from 15° to 90°, in order of rising 2θ)
| d_spacing | intensity |
| --- | --- |
| 3.400 | 38 |
| 3.313 | 66 |
| 3.023 | 17 |
| 2.801 | 31 |
| 2.661 | 100 |
| 2.580 | 33 |
| 2.505 | 20 |
| 2.055 | 27 |
| 1.897 | 18 |
| 1.734 | 24 |

Structure:
```
Nd6ErIn4
1.0
-3.9614 3.9614 6.0453
3.9614 -3.9614 6.0453
3.9614 3.9614 -6.0453
Nd Er In
6 1 4
direct
0.0000 0.5000 0.5000
0.0927 0.0927 0.6213
0.4714 0.4714 0.3787
0.5000 0.0000 0.5000
0.5286 0.9073 0.0000
0.9073 0.5286 0.0000
0.0000 0.0000 0.0000
0.2733 0.5941 0.0000
0.4059 0.4059 0.6792
0.5941 0.2733 0.0000
0.7267 0.7267 0.3208
```